# 1
Computed powder XRD pattern of NaInTeS for Cu Kα, 1.54184 Å, from DFT lattice parameters and positions (PBE).
No peak broadening, texture or thermal motion is included.

Most intense lines, 2θ from 10° to 90°, by angle:
2θ = 11.43°, I 25; 2θ = 24.54°, I 100; 2θ = 25.44°, I 60; 2θ = 36.50°, I 43; 2θ = 39.58°, I 33; 2θ = 42.65°, I 45

a = 7.344 Å, b = 4.240 Å, c = 8.121 Å
α = 90.00°, β = 107.62°, γ = 90.00°
Fractional positions:
Na1 0.000 0.000 0.000
Na2 0.500 0.500 0.000
In1 0.027 0.500 0.580
In2 0.527 0.000 0.580
Te1 0.411 0.000 0.233
Te2 0.911 0.500 0.233
S1 0.242 0.000 0.724
S2 0.742 0.500 0.724

# 2
Computed powder XRD pattern of Na4TiIn3S8 for Cu Kα, 1.54184 Å, from DFT lattice parameters and positions (PBE).
No peak broadening, texture or thermal motion is included.

Most intense lines, 2θ from 10° to 90°, by angle:
2θ = 13.30°, I 66; 2θ = 27.32°, I 22; 2θ = 32.46°, I 100; 2θ = 45.51°, I 34; 2θ = 47.60°, I 33; 2θ = 58.80°, I 16

a = 7.641 Å, b = 7.641 Å, c = 7.988 Å
α = 118.59°, β = 118.59°, γ = 59.99°
Fractional positions:
Na1 0.000 0.000 0.000
Na2 0.000 0.500 0.000
Na3 0.500 0.000 0.000
Na4 0.500 0.500 0.000
Ti1 0.000 0.000 0.500
In1 0.000 0.500 0.500
In2 0.500 0.000 0.500
In3 0.500 0.500 0.500
S1 0.231 0.231 0.714
S2 0.231 0.754 0.714
S3 0.246 0.769 0.286
S4 0.259 0.259 0.279
S5 0.741 0.741 0.721
S6 0.754 0.231 0.714
S7 0.769 0.246 0.286
S8 0.769 0.769 0.286

# 3
Computed powder XRD pattern of NaUInS4 for Cu Kα, 1.54184 Å, from DFT lattice parameters and positions (PBE).
No peak broadening, texture or thermal motion is included.

Most intense lines, 2θ from 10° to 90°, by angle:
2θ = 13.30°, I 29; 2θ = 13.64°, I 100; 2θ = 25.68°, I 50; 2θ = 26.08°, I 26; 2θ = 31.44°, I 82; 2θ = 45.08°, I 47

a = 8.048 Å, b = 8.048 Å, c = 8.048 Å
α = 121.17°, β = 118.67°, γ = 90.15°
Fractional positions:
Na1 0.386 0.136 0.250
Na2 0.614 0.864 0.750
U1 0.000 0.500 0.500
U2 0.500 0.500 0.000
In1 0.000 0.000 0.500
In2 0.000 0.500 0.000
S1 0.204 0.738 0.465
S2 0.227 0.262 0.965
S3 0.245 0.272 0.528
S4 0.245 0.717 0.972
S5 0.755 0.283 0.028
S6 0.755 0.728 0.472
S7 0.773 0.738 0.035
S8 0.796 0.262 0.535

# 4
Computed powder XRD pattern of Na2Zr2InS6 for Cu Kα, 1.54184 Å, from DFT lattice parameters and positions (PBE).
No peak broadening, texture or thermal motion is included.

Most intense lines, 2θ from 10° to 90°, by angle:
2θ = 13.13°, I 100; 2θ = 27.26°, I 22; 2θ = 32.25°, I 74; 2θ = 32.63°, I 36; 2θ = 45.20°, I 25; 2θ = 47.83°, I 24

a = 6.626 Å, b = 6.626 Å, c = 7.072 Å
α = 98.61°, β = 98.61°, γ = 120.56°
Fractional positions:
Na1 0.162 0.838 0.000
Na2 0.838 0.162 0.000
Zr1 0.333 0.667 0.500
Zr2 0.667 0.333 0.500
In1 0.000 0.000 0.500
S1 0.068 0.416 0.716
S2 0.273 0.273 0.285
S3 0.416 0.068 0.716
S4 0.584 0.932 0.284
S5 0.727 0.727 0.715
S6 0.932 0.584 0.284